The following is a theoretical PXRD pattern of Rb2CoTcI6. It was derived from a PBE-relaxed structure, using Cu Kα X-rays.
Kinematic intensities with the Lorentz-polarization factor, no thermal factor.

Cell and atoms:
abc: 8.0079 8.0079 8.0079
angles: 119.91 119.91 90.15
Fractional coordinates of all 10 atoms:
Rb (0.2500, 0.7500, 0.5000)
Rb (0.7500, 0.2500, 0.5000)
Co (0.0000, 0.0000, 0.0000)
Tc (0.5000, 0.5000, 0.0000)
I (0.2485, 0.2485, 0.0000)
I (0.2503, 0.2503, 0.5005)
I (0.2503, 0.7497, 0.0000)
I (0.7497, 0.2503, 0.0000)
I (0.7497, 0.7497, 0.4995)
I (0.7515, 0.7515, 0.0000)

Principal peaks in the range 2θ from 10° to 90°, by intensity:
31.59°, rel. 100
27.27°, rel. 96
45.28°, rel. 72
53.62°, rel. 29
15.64°, rel. 28
56.25°, rel. 25
74.92°, rel. 21
72.77°, rel. 17
83.58°, rel. 16
35.43°, rel. 14

The following is a theoretical PXRD pattern of PmPr4Nd2Dy. It was derived from a PBE-relaxed structure, using Cu Kα X-rays.
Kinematic intensities with the Lorentz-polarization factor, no thermal factor.

Cell and atoms:
abc: 5.1972 5.2161 10.3711
angles: 90.00 90.13 90.00
Fractional coordinates of all 8 atoms:
Pm (0.0000, 0.0000, 0.0000)
Pr (0.0001, 0.5000, 0.2521)
Pr (0.9999, 0.5000, 0.7479)
Pr (0.4998, 0.0000, 0.2514)
Pr (0.5002, 0.0000, 0.7486)
Nd (0.0000, 0.0000, 0.5000)
Nd (0.5000, 0.5000, 0.0000)
Dy (0.5000, 0.5000, 0.5000)

Principal peaks in the range 2θ from 10° to 90°, by intensity:
29.76°, rel. 100
34.56°, rel. 34
49.56°, rel. 30
34.39°, rel. 17
58.76°, rel. 15
58.93°, rel. 14
59.04°, rel. 14
80.43°, rel. 9
61.76°, rel. 6
61.86°, rel. 6

The following is a theoretical PXRD pattern of TlAuC. It was derived from a PBE-relaxed structure, using Cu Kα X-rays.
Kinematic intensities with the Lorentz-polarization factor, no thermal factor.

Cell and atoms:
abc: 5.2948 5.3007 6.3111
angles: 114.73 91.83 116.85
Fractional coordinates of all 6 atoms:
Tl (0.1127, 0.2155, 0.3315)
Tl (0.8873, 0.7845, 0.6685)
Au (0.0000, 0.5000, 0.0000)
Au (0.5000, 0.0000, 0.0000)
C (0.4278, 0.5721, 0.0003)
C (0.5722, 0.4279, 0.9997)

Principal peaks in the range 2θ from 10° to 90°, by intensity:
29.08°, rel. 100
33.82°, rel. 88
19.57°, rel. 71
38.37°, rel. 47
38.51°, rel. 45
16.07°, rel. 37
22.57°, rel. 35
40.42°, rel. 34
36.42°, rel. 33
36.08°, rel. 33

The following is a theoretical PXRD pattern of TaTi3. It was derived from a PBE-relaxed structure, using Cu Kα X-rays.
Kinematic intensities with the Lorentz-polarization factor, no thermal factor.

Cell and atoms:
abc: 4.6149 4.6149 4.6149
angles: 60.00 60.00 60.00
Fractional coordinates of all 4 atoms:
Ta (0.0000, 0.0000, 0.0000)
Ti (0.2500, 0.2500, 0.2500)
Ti (0.5000, 0.5000, 0.5000)
Ti (0.7500, 0.7500, 0.7500)

Principal peaks in the range 2θ from 10° to 90°, by intensity:
39.04°, rel. 100
23.61°, rel. 40
70.72°, rel. 33
46.13°, rel. 22
27.33°, rel. 21
56.39°, rel. 16
83.86°, rel. 10
61.98°, rel. 9
63.78°, rel. 9
88.67°, rel. 8

The following is a theoretical PXRD pattern of Mg15Cd2In2. It was derived from a PBE-relaxed structure, using Cu Kα X-rays.
Kinematic intensities with the Lorentz-polarization factor, no thermal factor.

Cell and atoms:
abc: 7.8846 7.8846 7.8846
angles: 79.89 79.89 79.89
Fractional coordinates of all 19 atoms:
Mg (0.0000, 0.0000, 0.5000)
Mg (0.0000, 0.3250, 0.6750)
Mg (0.0000, 0.5000, 0.0000)
Mg (0.0000, 0.6750, 0.3250)
Mg (0.1620, 0.6627, 0.6627)
Mg (0.3250, 0.0000, 0.6750)
Mg (0.3250, 0.6750, 0.0000)
Mg (0.3373, 0.3373, 0.8380)
Mg (0.3373, 0.8380, 0.3373)
Mg (0.5000, 0.0000, 0.0000)
Mg (0.6627, 0.1620, 0.6627)
Mg (0.6627, 0.6627, 0.1620)
Mg (0.6750, 0.0000, 0.3250)
Mg (0.6750, 0.3250, 0.0000)
Mg (0.8380, 0.3373, 0.3373)
Cd (0.0926, 0.0926, 0.0926)
Cd (0.9074, 0.9074, 0.9074)
In (0.2986, 0.2986, 0.2986)
In (0.7014, 0.7014, 0.7014)

Principal peaks in the range 2θ from 10° to 90°, by intensity:
17.52°, rel. 100
30.59°, rel. 82
35.46°, rel. 72
29.93°, rel. 59
39.30°, rel. 58
35.07°, rel. 55
34.89°, rel. 46
11.53°, rel. 44
47.07°, rel. 32
38.39°, rel. 29

The following is a theoretical PXRD pattern of S8O. It was derived from a PBE-relaxed structure, using Cu Kα X-rays.
Kinematic intensities with the Lorentz-polarization factor, no thermal factor.

Cell and atoms:
abc: 14.1494 8.7759 8.8002
angles: 90.00 90.00 90.00
Fractional coordinates of all 36 atoms:
S (0.0220, 0.0004, 0.0107)
S (0.0380, 0.4930, 0.5000)
S (0.0793, 0.1862, 0.9034)
S (0.0787, 0.3687, 0.0496)
S (0.1205, 0.0193, 0.4490)
S (0.1418, 0.5367, 0.6479)
S (0.2016, 0.9288, 0.6119)
S (0.2374, 0.6963, 0.5186)
S (0.2626, 0.6963, 0.0186)
S (0.2984, 0.9288, 0.1119)
S (0.3582, 0.5367, 0.1479)
S (0.3795, 0.0193, 0.9490)
S (0.4207, 0.1862, 0.4034)
S (0.4213, 0.3687, 0.5496)
S (0.4620, 0.4930, 0.0000)
S (0.4780, 0.0004, 0.5107)
S (0.5220, 0.9996, 0.0107)
S (0.5380, 0.5070, 0.5000)
S (0.5787, 0.6313, 0.0496)
S (0.5793, 0.8138, 0.9034)
S (0.6205, 0.9807, 0.4490)
S (0.6418, 0.4633, 0.6479)
S (0.7016, 0.0712, 0.6119)
S (0.7374, 0.3037, 0.5186)
S (0.7626, 0.3037, 0.0186)
S (0.7984, 0.0712, 0.1119)
S (0.8582, 0.4633, 0.1479)
S (0.8795, 0.9807, 0.9490)
S (0.9213, 0.6313, 0.5496)
S (0.9207, 0.8138, 0.4034)
S (0.9620, 0.5070, 0.0000)
S (0.9780, 0.9996, 0.5107)
O (0.2019, 0.6956, 0.3599)
O (0.2981, 0.6956, 0.8599)
O (0.7019, 0.3044, 0.3599)
O (0.7981, 0.3044, 0.8599)

Principal peaks in the range 2θ from 10° to 90°, by intensity:
20.19°, rel. 100
15.57°, rel. 59
21.39°, rel. 58
25.95°, rel. 40
23.84°, rel. 30
11.87°, rel. 30
27.17°, rel. 24
34.10°, rel. 24
31.45°, rel. 23
16.07°, rel. 21

The following is a theoretical PXRD pattern of Y4CrSe. It was derived from a PBE-relaxed structure, using Cu Kα X-rays.
Kinematic intensities with the Lorentz-polarization factor, no thermal factor.

Cell and atoms:
abc: 6.3190 6.3190 6.3190
angles: 60.00 60.00 60.00
Fractional coordinates of all 6 atoms:
Y (0.1242, 0.1242, 0.1242)
Y (0.1242, 0.1242, 0.6274)
Y (0.1242, 0.6274, 0.1242)
Y (0.6274, 0.1242, 0.1242)
Cr (0.7500, 0.7500, 0.7500)
Se (0.5000, 0.5000, 0.5000)

Principal peaks in the range 2θ from 10° to 90°, by intensity:
33.25°, rel. 100
34.78°, rel. 51
53.26°, rel. 33
58.42°, rel. 30
83.00°, rel. 20
69.81°, rel. 19
28.25°, rel. 18
17.19°, rel. 18
68.90°, rel. 11
40.37°, rel. 10

The following is a theoretical PXRD pattern of SrNbF6. It was derived from a PBE-relaxed structure, using Cu Kα X-rays.
Kinematic intensities with the Lorentz-polarization factor, no thermal factor.

Cell and atoms:
abc: 5.5469 5.5469 5.4406
angles: 90.00 90.00 120.00
Fractional coordinates of all 8 atoms:
Sr (0.0000, 0.0000, 0.0000)
Nb (0.6667, 0.3333, 0.5000)
F (0.3711, 0.0502, 0.7241)
F (0.3711, 0.3209, 0.2759)
F (0.6791, 0.0502, 0.2759)
F (0.6791, 0.6289, 0.7241)
F (0.9498, 0.3209, 0.7241)
F (0.9498, 0.6289, 0.2759)

Principal peaks in the range 2θ from 10° to 90°, by intensity:
24.72°, rel. 100
18.47°, rel. 46
46.78°, rel. 36
53.18°, rel. 24
41.08°, rel. 24
32.28°, rel. 16
57.56°, rel. 12
36.36°, rel. 12
54.05°, rel. 10
73.86°, rel. 9

The following is a theoretical PXRD pattern of Y2ScAg. It was derived from a PBE-relaxed structure, using Cu Kα X-rays.
Kinematic intensities with the Lorentz-polarization factor, no thermal factor.

Cell and atoms:
abc: 4.9027 6.2739 6.2739
angles: 33.32 90.00 90.00
Fractional coordinates of all 4 atoms:
Y (0.0000, 0.0000, 0.0000)
Y (0.5000, 0.3321, 0.3321)
Sc (0.0000, 0.7283, 0.7283)
Ag (0.5000, 0.5969, 0.5969)

Principal peaks in the range 2θ from 10° to 90°, by intensity:
31.73°, rel. 100
35.02°, rel. 71
33.47°, rel. 47
36.66°, rel. 37
50.48°, rel. 28
38.31°, rel. 26
63.15°, rel. 24
62.92°, rel. 23
59.67°, rel. 18
64.94°, rel. 16

The following is a theoretical PXRD pattern of PmAsO4. It was derived from a PBE-relaxed structure, using Cu Kα X-rays.
Kinematic intensities with the Lorentz-polarization factor, no thermal factor.

Cell and atoms:
abc: 6.8677 6.8677 6.8677
angles: 136.01 136.01 63.97
Fractional coordinates of all 12 atoms:
Pm (0.3750, 0.1250, 0.2500)
Pm (0.6250, 0.8750, 0.7500)
As (0.1250, 0.3750, 0.7500)
As (0.8750, 0.6250, 0.2500)
O (0.0624, 0.2041, 0.3605)
O (0.2019, 0.5624, 0.3583)
O (0.2959, 0.1563, 0.8583)
O (0.3437, 0.7019, 0.1395)
O (0.6563, 0.2981, 0.8605)
O (0.7041, 0.8437, 0.1417)
O (0.7981, 0.4376, 0.6417)
O (0.9376, 0.7959, 0.6395)

Principal peaks in the range 2θ from 10° to 90°, by intensity:
28.94°, rel. 100
47.14°, rel. 29
58.94°, rel. 28
34.88°, rel. 21
53.49°, rel. 18
30.70°, rel. 17
76.37°, rel. 13
59.96°, rel. 12
50.15°, rel. 12
18.86°, rel. 10

The following is a theoretical PXRD pattern of ErH3. It was derived from a PBE-relaxed structure, using Cu Kα X-rays.
Kinematic intensities with the Lorentz-polarization factor, no thermal factor.

Cell and atoms:
abc: 6.2116 6.2116 6.4680
angles: 90.00 90.00 120.00
Fractional coordinates of all 24 atoms:
Er (0.0000, 0.3369, 0.2500)
Er (0.0000, 0.6631, 0.7500)
Er (0.3369, 0.0000, 0.2500)
Er (0.3369, 0.3369, 0.7500)
Er (0.6631, 0.0000, 0.7500)
Er (0.6631, 0.6631, 0.2500)
H (0.0000, 0.0000, 0.2500)
H (0.0000, 0.0000, 0.7500)
H (0.0289, 0.3507, 0.5920)
H (0.0289, 0.6781, 0.0920)
H (0.3219, 0.3507, 0.0920)
H (0.3219, 0.9711, 0.5920)
H (0.3333, 0.6667, 0.3164)
H (0.3333, 0.6667, 0.8164)
H (0.3507, 0.0289, 0.9080)
H (0.3507, 0.3219, 0.4080)
H (0.6493, 0.6781, 0.5920)
H (0.6493, 0.9711, 0.0920)
H (0.6667, 0.3333, 0.1836)
H (0.6667, 0.3333, 0.6836)
H (0.6781, 0.0289, 0.4080)
H (0.6781, 0.6493, 0.9080)
H (0.9711, 0.3219, 0.9080)
H (0.9711, 0.6493, 0.4080)

Principal peaks in the range 2θ from 10° to 90°, by intensity:
31.97°, rel. 100
27.58°, rel. 33
51.61°, rel. 27
58.89°, rel. 24
28.74°, rel. 22
50.93°, rel. 19
40.26°, rel. 18
61.40°, rel. 16
83.74°, rel. 13
79.88°, rel. 10

The following is a theoretical PXRD pattern of Ho8P3S4. It was derived from a PBE-relaxed structure, using Cu Kα X-rays.
Kinematic intensities with the Lorentz-polarization factor, no thermal factor.

Cell and atoms:
abc: 7.8101 7.8101 7.8130
angles: 119.88 119.88 90.13
Fractional coordinates of all 15 atoms:
Ho (0.2472, 0.7528, 0.0000)
Ho (0.2479, 0.2479, 0.4963)
Ho (0.2510, 0.2510, 0.0063)
Ho (0.2517, 0.7483, 0.5000)
Ho (0.7483, 0.2517, 0.5000)
Ho (0.7490, 0.7490, 0.9937)
Ho (0.7521, 0.7521, 0.5037)
Ho (0.7528, 0.2472, 0.0000)
P (0.0000, 0.0000, 0.0000)
P (0.0000, 0.5000, 0.5000)
P (0.5000, 0.0000, 0.5000)
S (0.0000, 0.5000, 0.0000)
S (0.5000, 0.0000, 0.0000)
S (0.5000, 0.5000, 0.0000)
S (0.5000, 0.5000, 0.5000)

Principal peaks in the range 2θ from 10° to 90°, by intensity:
27.96°, rel. 100
46.47°, rel. 76
32.36°, rel. 70
32.46°, rel. 35
55.06°, rel. 32
57.78°, rel. 26
77.08°, rel. 17
55.19°, rel. 16
74.82°, rel. 10
74.94°, rel. 10

The following is a theoretical PXRD pattern of RbCuPdSe5. It was derived from a PBE-relaxed structure, using Cu Kα X-rays.
Kinematic intensities with the Lorentz-polarization factor, no thermal factor.

Cell and atoms:
abc: 6.3918 7.4130 9.3254
angles: 90.00 102.95 90.00
Fractional coordinates of all 16 atoms:
Rb (0.2466, 0.2500, 0.4492)
Rb (0.7534, 0.7500, 0.5508)
Cu (0.3899, 0.2500, 0.8919)
Cu (0.6101, 0.7500, 0.1081)
Pd (0.0000, 0.0000, 0.0000)
Pd (0.0000, 0.5000, 0.0000)
Se (0.1860, 0.5086, 0.7915)
Se (0.1860, 0.9914, 0.7915)
Se (0.1996, 0.7500, 0.3837)
Se (0.2267, 0.7500, 0.1326)
Se (0.4549, 0.7500, 0.8485)
Se (0.5451, 0.2500, 0.1515)
Se (0.7733, 0.2500, 0.8674)
Se (0.8004, 0.2500, 0.6163)
Se (0.8140, 0.0086, 0.2085)
Se (0.8140, 0.4914, 0.2085)

Principal peaks in the range 2θ from 10° to 90°, by intensity:
30.79°, rel. 100
29.76°, rel. 43
28.01°, rel. 43
46.90°, rel. 30
45.91°, rel. 29
49.16°, rel. 28
36.45°, rel. 24
37.31°, rel. 23
26.75°, rel. 23
28.13°, rel. 15